Entry 1:
The following is a simulated X-ray powder pattern of TbDyCdSn. It was derived from the GGA-PBE geometry in Alexandria, using Cu Kα (weighted mean of Kα1 and Kα2).
Neutral-atom scattering factors, no anomalous dispersion.

The 9 most intense peaks (15 to 90 degrees two-theta), sorted by position:
| 2θ (°) | Rel. int. |
| --- | --- |
| 23.78 | 3 |
| 33.88 | 100 |
| 41.82 | 1 |
| 48.67 | 18 |
| 54.87 | 1 |
| 60.63 | 37 |
| 71.30 | 12 |
| 76.36 | 1 |
| 81.32 | 16 |

Structural model:
a b c (Å): 7.483 7.483 7.483
angles (deg): 90.00 90.00 90.00
Space group F-43m (No. 216)
One atom of each set of equivalent atoms:
Tb  0.000  0.000  0.000 x4
Dy  0.000  0.000  0.500 x4
Cd  0.250  0.250  0.250 x4
Sn  0.250  0.250  0.750 x4

Entry 2:
The following is a simulated X-ray powder pattern of Nd6As2C. It was derived from the GGA-PBE geometry in Alexandria, using Cu Kα (weighted mean of Kα1 and Kα2).
Neutral-atom scattering factors, no anomalous dispersion.

The 10 most intense peaks (15 to 90 degrees two-theta), sorted by position:
| 2θ (°) | Rel. int. |
| --- | --- |
| 28.26 | 38 |
| 29.22 | 100 |
| 29.94 | 59 |
| 31.11 | 38 |
| 31.25 | 37 |
| 31.60 | 53 |
| 32.17 | 35 |
| 32.63 | 68 |
| 34.84 | 38 |
| 37.01 | 81 |

Structural model:
a b c (Å): 6.454 7.860 11.513
angles (deg): 90.00 122.38 90.00
Space group P2_1/c (No. 14)
One atom of each set of equivalent atoms:
Nd  0.116  0.169  0.450 x4
Nd  0.308  0.704  0.448 x4
Nd  0.379  0.030  0.250 x4
As  0.183  0.115  0.751 x4
C  0.500  0.000  0.500 x2

Entry 3:
The following is a simulated X-ray powder pattern of PuH5Os. It was derived from the GGA-PBE geometry in Alexandria, using Cu Kα (weighted mean of Kα1 and Kα2).
Neutral-atom scattering factors, no anomalous dispersion.

The 10 most intense peaks (15 to 90 degrees two-theta), sorted by position:
| 2θ (°) | Rel. int. |
| --- | --- |
| 26.79 | 68 |
| 30.27 | 100 |
| 37.35 | 29 |
| 40.86 | 91 |
| 46.56 | 32 |
| 56.48 | 18 |
| 62.99 | 26 |
| 64.27 | 25 |
| 69.71 | 39 |
| 88.59 | 22 |

Structural model:
a b c (Å): 3.737 4.816 6.654
angles (deg): 90.00 90.00 90.00
Space group Immm (No. 71)
One atom of each set of equivalent atoms:
Pu  0.000  0.000  0.000 x2
H  0.000  0.265  0.328 x8
H  0.000  0.500  0.000 x2
Os  0.000  0.000  0.500 x2